No. 1
Computed X-ray powder pattern of Y6Zn23 for Cu Kα X-rays, from the GGA-PBE geometry in the Materials Project.
Neutral-atom scattering factors, no anomalous dispersion.

Principal peaks in the range 15° ≤ 2θ ≤ 90°, low angle first:
2θ 34.60, intensity 17; 2θ 36.77, intensity 54; 2θ 40.16, intensity 100; 2θ 42.09, intensity 19; 2θ 42.72, intensity 12; 2θ 46.91, intensity 9; 2θ 62.00, intensity 13; 2θ 67.15, intensity 9; 2θ 72.99, intensity 16; 2θ 74.31, intensity 15

Structural model:
Unit cell a=8.9807 b=8.9807 c=8.9807 alpha=60.00 beta=60.00 gamma=60.00
Atoms (fractional coordinates):
1 Y 0.2081 0.2081 0.7919
2 Y 0.2081 0.7919 0.2081
3 Y 0.2081 0.7919 0.7919
4 Y 0.7919 0.2081 0.2081
5 Y 0.7919 0.2081 0.7919
6 Y 0.7919 0.7919 0.2081
7 Zn 0.0000 0.0000 0.5000
8 Zn 0.0000 0.5000 0.0000
9 Zn 0.0000 0.5000 0.5000
10 Zn 0.1313 0.6229 0.6229
11 Zn 0.1718 0.1718 0.1718
12 Zn 0.1718 0.1718 0.4845
13 Zn 0.1718 0.4845 0.1718
14 Zn 0.3771 0.3771 0.3771
15 Zn 0.3771 0.3771 0.8687
16 Zn 0.3771 0.8687 0.3771
17 Zn 0.4845 0.1718 0.1718
18 Zn 0.5000 0.0000 0.0000
19 Zn 0.5000 0.0000 0.5000
20 Zn 0.5000 0.5000 0.0000
21 Zn 0.5000 0.5000 0.5000
22 Zn 0.5155 0.8282 0.8282
23 Zn 0.6229 0.1313 0.6229
24 Zn 0.6229 0.6229 0.1313
25 Zn 0.6229 0.6229 0.6229
26 Zn 0.8282 0.5155 0.8282
27 Zn 0.8282 0.8282 0.5155
28 Zn 0.8282 0.8282 0.8282
29 Zn 0.8687 0.3771 0.3771

***

No. 2
Computed X-ray powder pattern of K2HgCl4 for Cu Kα X-rays, from the GGA-PBE geometry in the Materials Project.
Neutral-atom scattering factors, no anomalous dispersion.

Principal peaks in the range 15° ≤ 2θ ≤ 90°, low angle first:
2θ 23.80, intensity 100; 2θ 24.95, intensity 38; 2θ 30.00, intensity 30; 2θ 30.94, intensity 19; 2θ 31.90, intensity 18; 2θ 33.59, intensity 52; 2θ 39.71, intensity 20; 2θ 40.33, intensity 18; 2θ 44.19, intensity 32; 2θ 45.87, intensity 22

Structural model:
Unit cell a=7.8925 b=12.0048 c=9.0785 alpha=90.00 beta=90.00 gamma=90.00
Atoms (fractional coordinates):
1 K 0.0947 0.1752 0.0000
2 K 0.0965 0.1860 0.5000
3 K 0.4035 0.6860 0.5000
4 K 0.4053 0.6752 0.0000
5 K 0.5947 0.3248 0.0000
6 K 0.5965 0.3140 0.5000
7 K 0.9035 0.8140 0.5000
8 K 0.9053 0.8248 0.0000
9 Hg 0.0000 0.5000 0.2499
10 Hg 0.0000 0.5000 0.7501
11 Hg 0.5000 0.0000 0.2499
12 Hg 0.5000 0.0000 0.7501
13 Cl 0.1174 0.6920 0.2480
14 Cl 0.1174 0.6920 0.7520
15 Cl 0.2264 0.4388 0.0000
16 Cl 0.2310 0.4456 0.5000
17 Cl 0.2690 0.9456 0.5000
18 Cl 0.2736 0.9388 0.0000
19 Cl 0.3826 0.1920 0.2480
20 Cl 0.3826 0.1920 0.7520
21 Cl 0.6174 0.8080 0.2480
22 Cl 0.6174 0.8080 0.7520
23 Cl 0.7264 0.0612 0.0000
24 Cl 0.7310 0.0544 0.5000
25 Cl 0.7690 0.5544 0.5000
26 Cl 0.7736 0.5612 0.0000
27 Cl 0.8826 0.3080 0.2480
28 Cl 0.8826 0.3080 0.7520

***

No. 3
Computed X-ray powder pattern of Li2SnF6 for Cu Kα X-rays, from the GGA-PBE geometry in the Materials Project.
Neutral-atom scattering factors, no anomalous dispersion.

Principal peaks in the range 15° ≤ 2θ ≤ 90°, low angle first:
2θ 19.16, intensity 30; 2θ 20.39, intensity 97; 2θ 28.12, intensity 100; 2θ 40.83, intensity 52; 2θ 44.29, intensity 24; 2θ 46.05, intensity 27; 2θ 53.81, intensity 35; 2θ 59.59, intensity 26; 2θ 64.13, intensity 16; 2θ 70.13, intensity 14

Structural model:
Unit cell a=5.0301 b=5.0301 c=4.6322 alpha=90.00 beta=90.00 gamma=120.00
Atoms (fractional coordinates):
1 Li 0.3333 0.6667 0.0000
2 Li 0.6667 0.3333 0.0000
3 Sn 0.0000 0.0000 0.5000
4 F 0.0000 0.3252 0.2471
5 F 0.0000 0.6748 0.7529
6 F 0.3252 0.0000 0.2471
7 F 0.3252 0.3252 0.7529
8 F 0.6748 0.0000 0.7529
9 F 0.6748 0.6748 0.2471

***

No. 4
Computed X-ray powder pattern of YMg6W for Cu Kα X-rays, from the GGA-PBE geometry in the Materials Project.
Neutral-atom scattering factors, no anomalous dispersion.

Principal peaks in the range 15° ≤ 2θ ≤ 90°, low angle first:
2θ 15.73, intensity 35; 2θ 16.22, intensity 100; 2θ 23.73, intensity 25; 2θ 24.06, intensity 22; 2θ 32.78, intensity 34; 2θ 33.05, intensity 33; 2θ 35.74, intensity 30; 2θ 36.58, intensity 53; 2θ 37.47, intensity 61; 2θ 39.48, intensity 22

Structural model:
Unit cell a=5.0246 b=6.4409 c=6.4409 alpha=58.03 beta=90.00 gamma=90.00
Atoms (fractional coordinates):
1 Y 0.0000 0.0000 0.0000
2 Mg 0.0000 0.0037 0.5276
3 Mg 0.0000 0.5193 0.5193
4 Mg 0.0000 0.5276 0.0037
5 Mg 0.5000 0.3624 0.3624
6 Mg 0.5000 0.3699 0.8657
7 Mg 0.5000 0.8657 0.3699
8 W 0.5000 0.8750 0.8750

***

No. 5
Computed X-ray powder pattern of Mg3BH3O6 for Cu Kα X-rays, from the GGA-PBE geometry in the Materials Project.
Neutral-atom scattering factors, no anomalous dispersion.

Principal peaks in the range 15° ≤ 2θ ≤ 90°, low angle first:
2θ 19.47, intensity 55; 2θ 34.07, intensity 38; 2θ 34.19, intensity 34; 2θ 36.09, intensity 100; 2θ 41.23, intensity 32; 2θ 41.33, intensity 48; 2θ 49.04, intensity 51; 2θ 50.43, intensity 36; 2θ 57.49, intensity 30; 2θ 61.05, intensity 53

Structural model:
Unit cell a=9.1164 b=9.1164 c=3.2062 alpha=90.00 beta=90.00 gamma=120.00
Atoms (fractional coordinates):
1 Mg 0.0327 0.3760 0.2500
2 Mg 0.3433 0.9673 0.2500
3 Mg 0.3760 0.3433 0.7500
4 Mg 0.6240 0.6567 0.2500
5 Mg 0.6567 0.0327 0.7500
6 Mg 0.9673 0.6240 0.7500
7 B 0.3333 0.6667 0.7500
8 B 0.6667 0.3333 0.2500
9 H 0.0047 0.8337 0.2500
10 H 0.1663 0.1711 0.2500
11 H 0.1711 0.0047 0.7500
12 H 0.8289 0.9953 0.2500
13 H 0.8337 0.8289 0.7500
14 H 0.9953 0.1663 0.7500
15 O 0.0860 0.7940 0.2500
16 O 0.1577 0.5561 0.7500
17 O 0.2060 0.2921 0.2500
18 O 0.2921 0.0860 0.7500
19 O 0.3984 0.8423 0.7500
20 O 0.4439 0.6016 0.7500
21 O 0.5561 0.3984 0.2500
22 O 0.6016 0.1577 0.2500
23 O 0.7079 0.9140 0.2500
24 O 0.7940 0.7079 0.7500
25 O 0.8423 0.4439 0.2500
26 O 0.9140 0.2060 0.7500

***

No. 6
Computed X-ray powder pattern of SrNpP2O8 for Cu Kα X-rays, from the GGA-PBE geometry in the Materials Project.
Neutral-atom scattering factors, no anomalous dispersion.

Principal peaks in the range 15° ≤ 2θ ≤ 90°, low angle first:
2θ 16.68, intensity 21; 2θ 18.48, intensity 100; 2θ 25.87, intensity 96; 2θ 29.67, intensity 42; 2θ 30.20, intensity 20; 2θ 31.58, intensity 38; 2θ 33.71, intensity 36; 2θ 41.62, intensity 35; 2θ 48.11, intensity 33; 2θ 48.62, intensity 21

Structural model:
Unit cell a=6.9772 b=6.9772 c=13.3907 alpha=90.00 beta=90.00 gamma=80.77
Atoms (fractional coordinates):
1 Sr 0.2311 0.2689 0.2500
2 Sr 0.2689 0.2311 0.7500
3 Sr 0.7311 0.7689 0.2500
4 Sr 0.7689 0.7311 0.7500
5 Np 0.2282 0.7718 0.9088
6 Np 0.2718 0.7282 0.4088
7 Np 0.7282 0.2718 0.5912
8 Np 0.7718 0.2282 0.0912
9 P 0.1798 0.8202 0.1828
10 P 0.2272 0.2272 0.5000
11 P 0.2728 0.2728 0.0000
12 P 0.3202 0.6798 0.6828
13 P 0.6798 0.3202 0.3172
14 P 0.7272 0.7272 0.0000
15 P 0.7728 0.7728 0.5000
16 P 0.8202 0.1798 0.8172
17 O 0.0082 0.9918 0.1877
18 O 0.0602 0.2262 0.5769
19 O 0.0859 0.2939 0.0643
20 O 0.1211 0.6470 0.2424
21 O 0.1470 0.6211 0.7424
22 O 0.2061 0.4141 0.4357
23 O 0.2262 0.0602 0.4231
24 O 0.2339 0.7661 0.0735
25 O 0.2661 0.7339 0.5735
26 O 0.2738 0.4398 0.9231
27 O 0.2939 0.0859 0.9357
28 O 0.3530 0.8789 0.2424
29 O 0.3789 0.8530 0.7424
30 O 0.4141 0.2061 0.5643
31 O 0.4398 0.2738 0.0769
32 O 0.4918 0.5082 0.6877
33 O 0.5082 0.4918 0.3123
34 O 0.5602 0.7262 0.9231
35 O 0.5859 0.7939 0.4357
36 O 0.6211 0.1470 0.2576
37 O 0.6470 0.1211 0.7576
38 O 0.7061 0.9141 0.0643
39 O 0.7262 0.5602 0.0769
40 O 0.7339 0.2661 0.4265
41 O 0.7661 0.2339 0.9265
42 O 0.7738 0.9398 0.5769
43 O 0.7939 0.5859 0.5643
44 O 0.8530 0.3789 0.2576
45 O 0.8789 0.3530 0.7576
46 O 0.9141 0.7061 0.9357
47 O 0.9398 0.7738 0.4231
48 O 0.9918 0.0082 0.8123

***

No. 7
Computed X-ray powder pattern of SrNi2B2 for Cu Kα X-rays, from the GGA-PBE geometry in the Materials Project.
Neutral-atom scattering factors, no anomalous dispersion.

Principal peaks in the range 15° ≤ 2θ ≤ 90°, low angle first:
2θ 26.64, intensity 14; 2θ 30.98, intensity 45; 2θ 34.94, intensity 84; 2θ 37.10, intensity 100; 2θ 40.45, intensity 14; 2θ 44.47, intensity 13; 2θ 46.25, intensity 24; 2θ 51.95, intensity 29; 2θ 56.65, intensity 17; 2θ 68.31, intensity 22

Structural model:
Unit cell a=6.2818 b=13.3848 c=3.2497 alpha=90.00 beta=90.00 gamma=90.00
Atoms (fractional coordinates):
1 Sr 0.1414 0.1017 0.0000
2 Sr 0.3586 0.6017 0.5000
3 Sr 0.6414 0.3983 0.5000
4 Sr 0.8586 0.8983 0.0000
5 Ni 0.1238 0.7417 0.0000
6 Ni 0.1943 0.3696 0.0000
7 Ni 0.3057 0.8696 0.5000
8 Ni 0.3762 0.2417 0.5000
9 Ni 0.6238 0.7583 0.5000
10 Ni 0.6943 0.1304 0.5000
11 Ni 0.8057 0.6304 0.0000
12 Ni 0.8762 0.2583 0.0000
13 B 0.0606 0.3099 0.5000
14 B 0.0721 0.4461 0.5000
15 B 0.4279 0.9461 0.0000
16 B 0.4394 0.8099 0.0000
17 B 0.5606 0.1901 0.0000
18 B 0.5721 0.0539 0.0000
19 B 0.9279 0.5539 0.5000
20 B 0.9394 0.6901 0.5000